# 1
Starting from a GGA-PBE-relaxed structure, the PXRD pattern of Tb5HgBi2 was calculated for copper Kα.

Principal peaks in the range 15 to 90 degrees two-theta, in order of rising 2θ:
two_theta, I (rel.)
30.03, 51.2
30.70, 61.9
30.96, 34.5
33.17, 100.0
35.44, 23.3
37.12, 15.1
44.16, 26.4
54.16, 22.7
56.17, 22.6
63.55, 15.9

Structural model:
abc: 6.575 6.575 14.484
angles: 90.00 90.00 127.41
Fractional coordinates of all 16 atoms:
Tb 0.070 0.930 0.603
Tb 0.070 0.930 0.897
Tb 0.378 0.622 0.550
Tb 0.378 0.622 0.950
Tb 0.420 0.580 0.250
Tb 0.580 0.420 0.750
Tb 0.622 0.378 0.050
Tb 0.622 0.378 0.450
Tb 0.930 0.070 0.103
Tb 0.930 0.070 0.397
Hg 0.289 0.711 0.750
Hg 0.711 0.289 0.250
Bi 0.201 0.799 0.116
Bi 0.201 0.799 0.384
Bi 0.799 0.201 0.616
Bi 0.799 0.201 0.884



# 2
Starting from a GGA-PBE-relaxed structure, the PXRD pattern of Pu6IrPt4 was calculated for copper Kα.

Principal peaks in the range 15 to 90 degrees two-theta, in order of rising 2θ:
two_theta, I (rel.)
31.91, 44.6
33.63, 93.1
34.26, 56.0
35.90, 100.0
39.21, 82.3
41.20, 31.8
45.26, 36.7
46.02, 43.3
57.97, 29.9
68.54, 32.1

Structural model:
abc: 8.816 8.816 8.816
angles: 142.51 142.51 54.07
Fractional coordinates of all 11 atoms:
Pu 0.000 0.500 0.500
Pu 0.018 0.629 0.000
Pu 0.371 0.371 0.388
Pu 0.500 0.000 0.500
Pu 0.629 0.018 0.000
Pu 0.982 0.982 0.612
Ir 0.000 0.000 0.000
Pt 0.181 0.181 0.634
Pt 0.453 0.819 0.000
Pt 0.547 0.547 0.366
Pt 0.819 0.453 0.000



# 3
Starting from a GGA-PBE-relaxed structure, the PXRD pattern of KCo2Cl5 was calculated for copper Kα.

Principal peaks in the range 15 to 90 degrees two-theta, in order of rising 2θ:
two_theta, I (rel.)
17.87, 74.0
19.47, 45.9
25.55, 100.0
33.23, 25.4
34.45, 70.1
40.35, 38.2
43.38, 41.4
50.24, 27.7
54.08, 29.7
62.34, 27.0

Structural model:
abc: 8.641 8.641 11.543
angles: 90.00 90.00 144.94
Fractional coordinates of all 16 atoms:
K 0.072 0.928 0.750
K 0.928 0.072 0.250
Co 0.214 0.786 0.093
Co 0.214 0.786 0.407
Co 0.786 0.214 0.593
Co 0.786 0.214 0.907
Cl 0.082 0.918 0.087
Cl 0.082 0.918 0.413
Cl 0.274 0.726 0.583
Cl 0.274 0.726 0.917
Cl 0.305 0.695 0.250
Cl 0.695 0.305 0.750
Cl 0.726 0.274 0.083
Cl 0.726 0.274 0.417
Cl 0.918 0.082 0.587
Cl 0.918 0.082 0.913



# 4
Starting from a GGA-PBE-relaxed structure, the PXRD pattern of Ga3GePt8 was calculated for copper Kα.

Principal peaks in the range 15 to 90 degrees two-theta, in order of rising 2θ:
two_theta, I (rel.)
29.12, 12.8
35.06, 24.0
35.22, 23.1
37.23, 11.5
38.80, 65.4
40.35, 100.0
40.54, 26.4
44.02, 45.2
46.80, 13.5
47.18, 13.4

Structural model:
abc: 5.621 4.114 7.994
angles: 90.00 90.43 90.00
Fractional coordinates of all 12 atoms:
Ga 0.000 0.000 0.000
Ga 0.090 0.500 0.509
Ga 0.600 0.500 0.789
Ge 0.497 0.000 0.291
Pt 0.147 0.500 0.829
Pt 0.253 0.500 0.202
Pt 0.347 0.000 0.599
Pt 0.455 0.000 0.970
Pt 0.639 0.500 0.465
Pt 0.758 0.500 0.095
Pt 0.848 0.000 0.691
Pt 0.944 0.000 0.324



# 5
Starting from a GGA-PBE-relaxed structure, the PXRD pattern of NaZn2SiSe4 was calculated for copper Kα.

Principal peaks in the range 15 to 90 degrees two-theta, in order of rising 2θ:
two_theta, I (rel.)
16.37, 7.9
26.07, 100.0
33.04, 12.5
40.71, 23.2
44.43, 40.8
48.98, 25.2
55.36, 11.7
58.96, 7.3
70.95, 7.5
76.78, 7.3

Structural model:
abc: 6.965 6.960 6.269
angles: 63.29 63.20 53.51
Fractional coordinates of all 8 atoms:
Na 0.000 0.000 0.000
Zn 0.250 0.250 0.250
Zn 0.750 0.750 0.750
Si 0.500 0.500 0.500
Se 0.159 0.583 0.417
Se 0.418 0.843 0.582
Se 0.583 0.159 0.841
Se 0.843 0.418 0.157



# 6
Starting from a GGA-PBE-relaxed structure, the PXRD pattern of Y3Pa was calculated for copper Kα.

Principal peaks in the range 15 to 90 degrees two-theta, in order of rising 2θ:
two_theta, I (rel.)
16.47, 26.0
29.25, 16.1
29.56, 24.7
31.42, 37.4
33.29, 46.2
33.58, 100.0
43.68, 17.2
52.06, 18.0
57.32, 21.1
62.08, 20.9

Structural model:
abc: 3.477 11.390 6.107
angles: 90.00 90.00 90.00
Fractional coordinates of all 8 atoms:
Y 0.000 0.000 0.000
Y 0.000 0.243 0.339
Y 0.000 0.757 0.339
Y 0.500 0.257 0.839
Y 0.500 0.500 0.500
Y 0.500 0.743 0.839
Pa 0.000 0.500 0.993
Pa 0.500 0.000 0.493



# 7
Starting from a GGA-PBE-relaxed structure, the PXRD pattern of Pm4ZnSn3 was calculated for copper Kα.

Principal peaks in the range 15 to 90 degrees two-theta, in order of rising 2θ:
two_theta, I (rel.)
29.33, 100.0
30.32, 25.6
30.79, 30.4
36.74, 66.7
37.13, 18.7
39.64, 26.1
41.19, 23.5
51.01, 14.9
58.50, 16.9
74.72, 13.7

Structural model:
abc: 4.383 4.547 11.618
angles: 90.00 90.00 90.00
Fractional coordinates of all 8 atoms:
Pm 0.000 0.000 0.000
Pm 0.000 0.500 0.490
Pm 0.500 0.000 0.718
Pm 0.500 0.500 0.220
Zn 0.000 0.000 0.277
Sn 0.000 0.500 0.766
Sn 0.500 0.000 0.433
Sn 0.500 0.500 0.944



# 8
Starting from a GGA-PBE-relaxed structure, the PXRD pattern of SmDy2Mg4 was calculated for copper Kα.

Principal peaks in the range 15 to 90 degrees two-theta, in order of rising 2θ:
two_theta, I (rel.)
17.57, 34.5
23.39, 52.7
24.39, 24.0
26.43, 18.7
33.32, 53.2
34.05, 100.0
41.72, 23.8
47.84, 19.3
60.01, 38.8
61.40, 17.8

Structural model:
abc: 5.378 5.378 14.598
angles: 90.00 90.00 90.00
Fractional coordinates of all 14 atoms:
Sm 0.000 0.000 0.000
Sm 0.500 0.500 0.500
Dy 0.000 0.000 0.251
Dy 0.000 0.000 0.749
Dy 0.500 0.500 0.249
Dy 0.500 0.500 0.751
Mg 0.000 0.500 0.119
Mg 0.000 0.500 0.381
Mg 0.000 0.500 0.619
Mg 0.000 0.500 0.881
Mg 0.500 0.000 0.119
Mg 0.500 0.000 0.381
Mg 0.500 0.000 0.619
Mg 0.500 0.000 0.881



Copy entry 7 word for word.
Starting from a GGA-PBE-relaxed structure, the PXRD pattern of Pm4ZnSn3 was calculated for copper Kα.

Principal peaks in the range 15 to 90 degrees two-theta, in order of rising 2θ:
two_theta, I (rel.)
29.33, 100.0
30.32, 25.6
30.79, 30.4
36.74, 66.7
37.13, 18.7
39.64, 26.1
41.19, 23.5
51.01, 14.9
58.50, 16.9
74.72, 13.7

Structural model:
abc: 4.383 4.547 11.618
angles: 90.00 90.00 90.00
Fractional coordinates of all 8 atoms:
Pm 0.000 0.000 0.000
Pm 0.000 0.500 0.490
Pm 0.500 0.000 0.718
Pm 0.500 0.500 0.220
Zn 0.000 0.000 0.277
Sn 0.000 0.500 0.766
Sn 0.500 0.000 0.433
Sn 0.500 0.500 0.944